Computed powder diffraction line list
Compound: LiAgF2
Radiation: Cu Kα
Structure: a crystal structure in the Materials Project, relaxed with GGA-PBE
Intensities are scaled so that the largest is 100.

Peak list (10 most intense, 10 to 90 degrees two-theta, in order of rising 2θ)
hkl	2theta	I (rel.)
2 0 0	14.37	100
0 0 2	31.44	10
4 0 1	33.06	11
0 1 1	34.54	24
2 0 2	34.72	27
2 1 1	37.58	46
4 1 0	42.67	16
4 0 2	43.28	10
4 1 1	45.69	24
6 0 1	47.02	15

Cell and atoms:
```
16
Lattice="12.3254 0.0000 0.0000 0.0000 2.9186 0.0000 0.0000 0.0000 5.6909" Properties=species:S:1:pos:R:3 pbc="T T T"
Li 2.6637 0.7296 0.6250
Li 3.4991 2.1889 3.4704
Li 8.8264 0.7296 2.2205
Li 9.6618 2.1889 5.0659
Ag 0.3352 2.1889 4.0290
Ag 5.8275 0.7296 1.1835
Ag 6.4979 2.1889 4.5074
Ag 11.9902 0.7296 1.6619
F 1.3372 2.1889 0.5385
F 2.1929 0.7296 3.2256
F 3.9699 2.1889 0.3801
F 4.8255 0.7296 3.3840
F 7.4999 2.1889 2.3069
F 8.3556 0.7296 5.3108
F 10.1326 2.1889 2.4653
F 10.9882 0.7296 5.1524
```